Record 1
The following is a computed powder diffraction line list of BaMgBe2Cl8. It was derived from a structure optimized by DFT (GGA-PBE), using Cu Kα X-rays.
Lines closer than 0.1° are merged.

Most intense lines, 10° ≤ 2θ ≤ 90°, sorted by position:
2theta	I (rel.)	(hkl)
21.80	39	1 0 4
30.78	34	0 0 9
31.42	100	1 1 3
36.25	83	2 -1 6
51.79	27	1 1 12
52.62	27	3 0 0

Structural model:
```
data_BaMgBe2Cl8
_chemical_formula_sum 'Ba3 Mg3 Be6 Cl24'
_symmetry_space_group_name_H-M 'R -3'
_symmetry_Int_Tables_number 148
_symmetry_space_group_name_Hall '-R 3'
_cell_length_a 6.0250
_cell_length_b 6.0250
_cell_length_c 26.1442
_cell_angle_alpha 90.00
_cell_angle_beta 90.00
_cell_angle_gamma 120.00
loop_
_atom_site_label
_atom_site_type_symbol
_atom_site_fract_x
_atom_site_fract_y
_atom_site_fract_z
_atom_site_occupancy
Ba1 Ba 0.0000 0.0000 0.0000 1
Mg1 Mg 0.0000 0.0000 0.5000 1
Be1 Be 0.0000 0.0000 0.2470 1
Cl1 Cl 0.0000 0.0000 0.3244 1
Cl2 Cl 0.0008 0.6774 0.7754 1
```

Record 2
The following is a computed powder diffraction line list of Li3PuCl8. It was derived from a structure optimized by DFT (GGA-PBE), using Cu Kα X-rays.
Lines closer than 0.1° are merged.

Most intense lines, 10° ≤ 2θ ≤ 90°, sorted by position:
2theta	I (rel.)	(hkl)
13.86	97	0 0 1
13.97	51	2 0 -1
14.08	100	1 1 0
16.12	73	1 1 -1
27.04	50	0 2 1
32.56	63	2 2 -2

Structural model:
```
data_Li3PuCl8
_chemical_formula_sum 'Li6 Pu2 Cl16'
_symmetry_space_group_name_H-M 'C 1 2/m 1'
_symmetry_Int_Tables_number 12
_symmetry_space_group_name_Hall '-C 2y'
_cell_length_a 13.357
_cell_length_b 7.708
_cell_length_c 7.849
_cell_angle_alpha 90.00
_cell_angle_beta 125.53
_cell_angle_gamma 90.00
loop_
_atom_site_label
_atom_site_type_symbol
_atom_site_fract_x
_atom_site_fract_y
_atom_site_fract_z
_atom_site_occupancy
Li1 Li 0.000 0.000 0.000 1
Li2 Li 0.250 0.250 0.000 1
Pu1 Pu 0.000 0.500 0.000 1
Cl1 Cl 0.001 0.268 0.231 1
Cl2 Cl 0.220 0.000 0.157 1
Cl3 Cl 0.233 0.500 0.230 1
```

Record 3
The following is a computed powder diffraction line list of Na3H9Pd2. It was derived from a structure optimized by DFT (GGA-PBE), using Cu Kα X-rays.
Lines closer than 0.1° are merged.

Most intense lines, 10° ≤ 2θ ≤ 90°, sorted by position:
2theta	I (rel.)	(hkl)
14.10	38	0 0 1
20.31	51	1 0 0
24.81	90	0 1 1
35.18	100	1 0 2
35.56	83	1 1 0
50.89	36	0 2 2

Structural model:
```
data_Na3H9Pd2
_chemical_formula_sum 'Na3 H9 Pd2'
_symmetry_space_group_name_H-M 'P -3 m 1'
_symmetry_Int_Tables_number 164
_symmetry_space_group_name_Hall '-P 3 2"'
_cell_length_a 5.0487
_cell_length_b 5.0487
_cell_length_c 6.2809
_cell_angle_alpha 90.00
_cell_angle_beta 90.00
_cell_angle_gamma 120.00
loop_
_atom_site_label
_atom_site_type_symbol
_atom_site_fract_x
_atom_site_fract_y
_atom_site_fract_z
_atom_site_occupancy
Na1 Na 0.0000 0.0000 0.0000 1
Na2 Na 0.3333 0.6667 0.3501 1
H1 H 0.0000 0.5000 0.0000 1
H2 H 0.1763 0.3525 0.6838 1
Pd1 Pd 0.3333 0.6667 0.8354 1
```

Record 4
The following is a computed powder diffraction line list of PuICl2. It was derived from a structure optimized by DFT (GGA-PBE), using Cu Kα X-rays.
Lines closer than 0.1° are merged.

Most intense lines, 10° ≤ 2θ ≤ 90°, sorted by position:
2theta	I (rel.)	(hkl)
16.55	100	1 1 -1
17.50	83	2 0 0
23.20	60	1 1 1
36.46	36	3 1 -3
38.08	32	3 1 1
43.27	30	3 3 -1

Structural model:
```
data_PuICl2
_chemical_formula_sum 'Pu4 I4 Cl8'
_symmetry_space_group_name_H-M 'C 1 c 1'
_symmetry_Int_Tables_number 9
_symmetry_space_group_name_Hall 'C -2yc'
_cell_length_a 12.171
_cell_length_b 7.323
_cell_length_c 7.902
_cell_angle_alpha 90.00
_cell_angle_beta 123.61
_cell_angle_gamma 90.00
loop_
_atom_site_label
_atom_site_type_symbol
_atom_site_fract_x
_atom_site_fract_y
_atom_site_fract_z
_atom_site_occupancy
Pu1 Pu 0.000 0.227 0.000 1
I1 I 0.412 0.092 0.762 1
Cl1 Cl 0.058 0.069 0.746 1
Cl2 Cl 0.244 0.377 0.244 1
```